[1]
Pr2RuO5: calculated powder X-ray diffraction pattern (copper Kα), based on a structure optimized by DFT (PBE).
No peak broadening, texture or thermal motion is included.

Cell and atoms:
abc: 10.753 3.994 11.689
angles: 90.00 90.00 90.00
Space group Pnma (No. 62)
Asymmetric unit:
1 Pr 0.099 0.250 0.227 [4 per cell]
2 Pr 0.134 0.250 0.564 [4 per cell]
3 Ru 0.193 0.250 0.881 [4 per cell]
4 O 0.010 0.750 0.598 [4 per cell]
5 O 0.035 0.250 0.806 [4 per cell]
6 O 0.220 0.250 0.042 [4 per cell]
7 O 0.226 0.750 0.227 [4 per cell]
8 O 0.238 0.750 0.883 [4 per cell]

Principal peaks in the range 2θ from 10° to 80°, low angle first:
h k l, 2θ/deg, I_rel
1 0 1, 11.18, 15
2 1 0, 27.83, 100
2 0 3, 28.29, 78
3 0 2, 29.23, 16
0 1 3, 32.09, 43
0 2 0, 45.41, 23
4 1 3, 46.94, 30
2 2 3, 54.37, 24



[2]
SrSn2Cl6O5: calculated powder X-ray diffraction pattern (copper Kα), based on a structure optimized by DFT (PBE).
No peak broadening, texture or thermal motion is included.

Cell and atoms:
abc: 10.876 16.211 10.565
angles: 90.00 115.79 90.00
Space group C2/c (No. 15)
Asymmetric unit:
1 Sr 0.000 0.095 0.250 [4 per cell]
2 Sn 0.211 0.413 0.095 [8 per cell]
3 Cl 0.011 0.400 0.581 [8 per cell]
4 Cl 0.163 0.163 0.000 [8 per cell]
5 Cl 0.195 0.337 0.283 [8 per cell]
6 O 0.000 0.247 0.250 [4 per cell]
7 O 0.041 0.029 0.518 [8 per cell]
8 O 0.194 0.014 0.333 [8 per cell]

Principal peaks in the range 2θ from 10° to 80°, low angle first:
h k l, 2θ/deg, I_rel
0 2 0, 10.92, 45
1 1 1, 16.50, 83
1 1 -2, 17.68, 100
2 2 -1, 19.71, 88
1 3 1, 22.68, 49
2 4 -1, 27.49, 36
1 5 -2, 32.41, 44
2 0 -4, 33.97, 45



[3]
Mg14MnC: calculated powder X-ray diffraction pattern (copper Kα), based on a structure optimized by DFT (PBE).
No peak broadening, texture or thermal motion is included.

Cell and atoms:
abc: 8.876 7.843 9.788
angles: 90.00 90.00 90.00
Space group Amm2 (No. 38)
Asymmetric unit:
1 Mg 0.000 0.000 0.000 [2 per cell]
2 Mg 0.000 0.000 0.457 [2 per cell]
3 Mg 0.000 0.218 0.733 [4 per cell]
4 Mg 0.255 0.000 0.236 [4 per cell]
5 Mg 0.268 0.000 0.650 [4 per cell]
6 Mg 0.318 0.187 0.947 [8 per cell]
7 Mg 0.500 0.234 0.190 [4 per cell]
8 Mn 0.500 0.000 0.444 [2 per cell]
9 C 0.500 0.000 0.058 [2 per cell]

Principal peaks in the range 2θ from 10° to 80°, low angle first:
h k l, 2θ/deg, I_rel
3 1 1, 33.64, 8
0 3 1, 35.53, 17
2 2 2, 35.64, 100
2 1 3, 36.03, 29
0 0 4, 36.73, 21
4 0 0, 40.66, 14
0 4 0, 46.31, 9
0 3 5, 58.94, 10



[4]
Cr4GaS8: calculated powder X-ray diffraction pattern (copper Kα), based on a structure optimized by DFT (PBE).
No peak broadening, texture or thermal motion is included.

Cell and atoms:
abc: 9.924 9.924 9.924
angles: 90.00 90.00 90.00
Space group F-43m (No. 216)
Asymmetric unit:
1 Cr 0.117 0.117 0.117 [16 per cell]
2 Ga 0.000 0.000 0.500 [4 per cell]
3 S 0.118 0.118 0.882 [16 per cell]
4 S 0.135 0.135 0.365 [16 per cell]

Principal peaks in the range 2θ from 10° to 80°, low angle first:
h k l, 2θ/deg, I_rel
1 1 1, 15.47, 52
2 0 0, 17.88, 26
2 2 0, 25.39, 18
3 1 1, 29.86, 95
4 0 0, 36.21, 87
5 1 1, 47.61, 53
4 4 0, 52.14, 100
5 5 3, 73.27, 16